Record 1
For ThAgH6Rh, a DFT-relaxed cell (GGA-PBE, Alexandria) gives the calculated PXRD pattern in this record (Cu Kα X-rays).
Intensities are scaled so that the largest is 100.

```
data_ThAgH6Rh
_chemical_formula_sum 'Th1 Ag1 H6 Rh1'
_space_group_name_H-M_alt 'P 1'
_space_group_IT_number 1
_space_group_name_Hall 'P 1'
_cell_length_a 4.7532
_cell_length_b 4.7532
_cell_length_c 4.3530
_cell_angle_alpha 90.00
_cell_angle_beta 90.00
_cell_angle_gamma 120.00
loop_
_atom_site_label
_atom_site_type_symbol
_atom_site_fract_x
_atom_site_fract_y
_atom_site_fract_z
Th1 Th 0.0000 0.0000 0.0000
Ag1 Ag 0.6667 0.3333 0.5000
H1 H 0.0335 0.5167 0.2137
H2 H 0.0335 0.5167 0.7863
H3 H 0.4833 0.5167 0.2137
H4 H 0.4833 0.5167 0.7863
H5 H 0.4833 0.9665 0.2137
H6 H 0.4833 0.9665 0.7863
Rh1 Rh 0.3333 0.6667 0.5000
```

Largest 10 diffraction maxima, sorted by position, 10 to 90 degrees two-theta:
2θ 21.59, intensity 11
2θ 29.87, intensity 100
2θ 37.86, intensity 47
2θ 41.49, intensity 12
2θ 48.95, intensity 26
2θ 57.41, intensity 28
2θ 63.50, intensity 24
2θ 68.57, intensity 9
2θ 83.24, intensity 10
2θ 88.55, intensity 10

Record 2
For Ca2GaAg3, a DFT-relaxed cell (GGA-PBE, Alexandria) gives the calculated PXRD pattern in this record (Cu Kα X-rays).
Intensities are scaled so that the largest is 100.

```
data_Ca2GaAg3
_chemical_formula_sum 'Ca2 Ga1 Ag3'
_space_group_name_H-M_alt 'P 1'
_space_group_IT_number 1
_space_group_name_Hall 'P 1'
_cell_length_a 5.8819
_cell_length_b 5.8819
_cell_length_c 7.3795
_cell_angle_alpha 128.04
_cell_angle_beta 128.04
_cell_angle_gamma 47.15
loop_
_atom_site_label
_atom_site_type_symbol
_atom_site_fract_x
_atom_site_fract_y
_atom_site_fract_z
Ca1 Ca 0.0000 0.0000 0.0000
Ca2 Ca 0.0981 0.0981 0.6025
Ga1 Ga 0.3766 0.3766 0.1903
Ag1 Ag 0.3890 0.3890 0.5787
Ag2 Ag 0.6972 0.6972 0.4088
Ag3 Ag 0.7229 0.7229 0.0338
```

Largest 10 diffraction maxima, sorted by position, 10 to 90 degrees two-theta:
2θ 21.93, intensity 39
2θ 24.12, intensity 45
2θ 31.66, intensity 40
2θ 32.69, intensity 32
2θ 32.79, intensity 24
2θ 32.97, intensity 68
2θ 38.11, intensity 31
2θ 38.26, intensity 63
2θ 38.48, intensity 24
2θ 38.89, intensity 100

Record 3
For CsAg3Sn6, a DFT-relaxed cell (GGA-PBE, Alexandria) gives the calculated PXRD pattern in this record (Cu Kα X-rays).
Intensities are scaled so that the largest is 100.

```
data_CsAg3Sn6
_chemical_formula_sum 'Cs2 Ag6 Sn12'
_space_group_name_H-M_alt 'P 1'
_space_group_IT_number 1
_space_group_name_Hall 'P 1'
_cell_length_a 8.4087
_cell_length_b 7.4883
_cell_length_c 9.8375
_cell_angle_alpha 90.00
_cell_angle_beta 117.10
_cell_angle_gamma 90.00
loop_
_atom_site_label
_atom_site_type_symbol
_atom_site_fract_x
_atom_site_fract_y
_atom_site_fract_z
Cs1 Cs 0.0000 0.0000 0.0000
Cs2 Cs 0.0000 0.5000 0.5000
Ag1 Ag 0.2837 0.1784 0.4757
Ag2 Ag 0.2837 0.3216 0.9757
Ag3 Ag 0.5000 0.0000 0.0000
Ag4 Ag 0.5000 0.5000 0.5000
Ag5 Ag 0.7163 0.6784 0.0243
Ag6 Ag 0.7163 0.8216 0.5243
Sn1 Sn 0.1374 0.0477 0.6833
Sn2 Sn 0.1374 0.4523 0.1833
Sn3 Sn 0.2660 0.6893 0.8678
Sn4 Sn 0.2660 0.8107 0.3678
Sn5 Sn 0.4793 0.1509 0.2861
Sn6 Sn 0.4793 0.3491 0.7861
Sn7 Sn 0.5207 0.6509 0.2139
Sn8 Sn 0.5207 0.8491 0.7139
Sn9 Sn 0.7340 0.1893 0.6322
Sn10 Sn 0.7340 0.3107 0.1322
Sn11 Sn 0.8626 0.5477 0.8167
Sn12 Sn 0.8626 0.9523 0.3167
```

Largest 10 diffraction maxima, sorted by position, 10 to 90 degrees two-theta:
2θ 30.44, intensity 36
2θ 31.40, intensity 21
2θ 32.25, intensity 100
2θ 32.93, intensity 37
2θ 33.44, intensity 33
2θ 33.86, intensity 22
2θ 36.97, intensity 21
2θ 37.46, intensity 32
2θ 37.87, intensity 29
2θ 39.13, intensity 28

Record 4
For TbCeTi, a DFT-relaxed cell (GGA-PBE, Alexandria) gives the calculated PXRD pattern in this record (Cu Kα X-rays).
Intensities are scaled so that the largest is 100.

```
data_TbCeTi
_chemical_formula_sum 'Tb4 Ce4 Ti4'
_space_group_name_H-M_alt 'P 1'
_space_group_IT_number 1
_space_group_name_Hall 'P 1'
_cell_length_a 5.9432
_cell_length_b 8.1915
_cell_length_c 6.2035
_cell_angle_alpha 90.00
_cell_angle_beta 90.00
_cell_angle_gamma 90.00
loop_
_atom_site_label
_atom_site_type_symbol
_atom_site_fract_x
_atom_site_fract_y
_atom_site_fract_z
Tb1 Tb 0.1234 0.1781 0.0000
Tb2 Tb 0.3766 0.6781 0.0000
Tb3 Tb 0.6234 0.3219 0.0000
Tb4 Tb 0.8766 0.8219 0.0000
Ce1 Ce 0.0876 0.8382 0.5000
Ce2 Ce 0.4124 0.3382 0.5000
Ce3 Ce 0.5876 0.6618 0.5000
Ce4 Ce 0.9124 0.1618 0.5000
Ti1 Ti 0.0000 0.5000 0.2669
Ti2 Ti 0.0000 0.5000 0.7331
Ti3 Ti 0.5000 0.0000 0.2669
Ti4 Ti 0.5000 0.0000 0.7331
```

Largest 10 diffraction maxima, sorted by position, 10 to 90 degrees two-theta:
2θ 28.78, intensity 43
2θ 30.15, intensity 65
2θ 34.40, intensity 44
2θ 35.23, intensity 100
2θ 36.20, intensity 58
2θ 36.33, intensity 32
2θ 46.89, intensity 26
2θ 49.31, intensity 17
2θ 53.46, intensity 23
2θ 55.27, intensity 28

Record 5
For Li2UPt6, a DFT-relaxed cell (GGA-PBE, Alexandria) gives the calculated PXRD pattern in this record (Cu Kα X-rays).
Intensities are scaled so that the largest is 100.

```
data_Li2UPt6
_chemical_formula_sum 'Li2 U1 Pt6'
_space_group_name_H-M_alt 'P 1'
_space_group_IT_number 1
_space_group_name_Hall 'P 1'
_cell_length_a 4.0507
_cell_length_b 6.3626
_cell_length_c 6.3626
_cell_angle_alpha 116.96
_cell_angle_beta 90.00
_cell_angle_gamma 90.00
loop_
_atom_site_label
_atom_site_type_symbol
_atom_site_fract_x
_atom_site_fract_y
_atom_site_fract_z
Li1 Li 0.0000 0.1249 0.8751
Li2 Li 0.0000 0.8751 0.1249
U1 U 0.5000 0.3294 0.3294
Pt1 Pt 0.0000 0.1880 0.5393
Pt2 Pt 0.0000 0.5393 0.1880
Pt3 Pt 0.0000 0.6476 0.6476
Pt4 Pt 0.5000 0.4744 0.8603
Pt5 Pt 0.5000 0.8603 0.4744
Pt6 Pt 0.5000 0.9374 0.9374
```

Largest 10 diffraction maxima, sorted by position, 10 to 90 degrees two-theta:
2θ 15.63, intensity 22
2θ 35.92, intensity 92
2θ 38.77, intensity 100
2θ 41.57, intensity 25
2θ 44.75, intensity 32
2θ 48.81, intensity 17
2θ 59.62, intensity 17
2θ 62.73, intensity 20
2θ 80.00, intensity 17
2θ 80.49, intensity 18

Record 6
For ZnCoPb4, a DFT-relaxed cell (GGA-PBE, Alexandria) gives the calculated PXRD pattern in this record (Cu Kα X-rays).
Intensities are scaled so that the largest is 100.

```
data_ZnCoPb4
_chemical_formula_sum 'Zn1 Co1 Pb4'
_space_group_name_H-M_alt 'P 1'
_space_group_IT_number 1
_space_group_name_Hall 'P 1'
_cell_length_a 6.3413
_cell_length_b 6.3413
_cell_length_c 6.3413
_cell_angle_alpha 60.00
_cell_angle_beta 60.00
_cell_angle_gamma 60.00
loop_
_atom_site_label
_atom_site_type_symbol
_atom_site_fract_x
_atom_site_fract_y
_atom_site_fract_z
Zn1 Zn 0.0000 0.0000 0.0000
Co1 Co 0.7500 0.7500 0.7500
Pb1 Pb 0.3754 0.3754 0.3754
Pb2 Pb 0.3754 0.3754 0.8738
Pb3 Pb 0.3754 0.8738 0.3754
Pb4 Pb 0.8738 0.3754 0.3754
```

Largest 10 diffraction maxima, sorted by position, 10 to 90 degrees two-theta:
2θ 17.13, intensity 61
2θ 33.13, intensity 100
2θ 34.65, intensity 78
2θ 40.22, intensity 28
2θ 44.01, intensity 18
2θ 53.06, intensity 36
2θ 58.19, intensity 36
2θ 61.14, intensity 14
2θ 69.53, intensity 33
2θ 82.65, intensity 23

Record 7
For Mg16MnAl12, a DFT-relaxed cell (GGA-PBE, Alexandria) gives the calculated PXRD pattern in this record (Cu Kα X-rays).
Intensities are scaled so that the largest is 100.

```
data_Mg16MnAl12
_chemical_formula_sum 'Mg16 Mn1 Al12'
_space_group_name_H-M_alt 'P 1'
_space_group_IT_number 1
_space_group_name_Hall 'P 1'
_cell_length_a 9.0384
_cell_length_b 9.0384
_cell_length_c 9.0384
_cell_angle_alpha 109.20
_cell_angle_beta 109.20
_cell_angle_gamma 109.20
loop_
_atom_site_label
_atom_site_type_symbol
_atom_site_fract_x
_atom_site_fract_y
_atom_site_fract_z
Mg1 Mg 0.0000 0.0000 0.0000
Mg2 Mg 0.2766 0.6763 0.6763
Mg3 Mg 0.3109 0.5916 0.9914
Mg4 Mg 0.3109 0.9914 0.5916
Mg5 Mg 0.3406 0.9921 0.9921
Mg6 Mg 0.4046 0.4046 0.6994
Mg7 Mg 0.4046 0.6994 0.4046
Mg8 Mg 0.5916 0.3109 0.9914
Mg9 Mg 0.5916 0.9914 0.3109
Mg10 Mg 0.6763 0.2766 0.6763
Mg11 Mg 0.6763 0.6763 0.2766
Mg12 Mg 0.6994 0.4046 0.4046
Mg13 Mg 0.9914 0.3109 0.5916
Mg14 Mg 0.9914 0.5916 0.3109
Mg15 Mg 0.9921 0.3406 0.9921
Mg16 Mg 0.9921 0.9921 0.3406
Mn1 Mn 0.6943 0.6943 0.6943
Al1 Al 0.1646 0.3518 0.3518
Al2 Al 0.1807 0.1807 0.8034
Al3 Al 0.1807 0.8034 0.1807
Al4 Al 0.3518 0.1646 0.3518
Al5 Al 0.3518 0.3518 0.1646
Al6 Al 0.6284 0.8088 0.9907
Al7 Al 0.6284 0.9907 0.8088
Al8 Al 0.8034 0.1807 0.1807
Al9 Al 0.8088 0.6284 0.9907
Al10 Al 0.8088 0.9907 0.6284
Al11 Al 0.9907 0.6284 0.8088
Al12 Al 0.9907 0.8088 0.6284
```

Largest 10 diffraction maxima, sorted by position, 10 to 90 degrees two-theta:
2θ 34.26, intensity 28
2θ 36.22, intensity 87
2θ 36.43, intensity 83
2θ 36.57, intensity 100
2θ 40.01, intensity 17
2θ 40.46, intensity 24
2θ 40.58, intensity 41
2θ 44.02, intensity 17
2θ 44.31, intensity 15
2θ 65.45, intensity 22

Record 8
For PaTa2VC4, a DFT-relaxed cell (GGA-PBE, Alexandria) gives the calculated PXRD pattern in this record (Cu Kα X-rays).
Intensities are scaled so that the largest is 100.

```
data_PaTa2VC4
_chemical_formula_sum 'Pa2 Ta4 V2 C8'
_space_group_name_H-M_alt 'P 1'
_space_group_IT_number 1
_space_group_name_Hall 'P 1'
_cell_length_a 5.8349
_cell_length_b 5.8349
_cell_length_c 11.0003
_cell_angle_alpha 90.00
_cell_angle_beta 90.00
_cell_angle_gamma 147.88
loop_
_atom_site_label
_atom_site_type_symbol
_atom_site_fract_x
_atom_site_fract_y
_atom_site_fract_z
Pa1 Pa 0.1089 0.8911 0.7500
Pa2 Pa 0.8911 0.1089 0.2500
Ta1 Ta 0.3715 0.6285 0.5410
Ta2 Ta 0.3715 0.6285 0.9590
Ta3 Ta 0.6285 0.3715 0.0410
Ta4 Ta 0.6285 0.3715 0.4590
V1 V 0.1567 0.8433 0.2500
V2 V 0.8433 0.1567 0.7500
C1 C 0.0000 0.0000 0.0000
C2 C 0.0000 0.0000 0.5000
C3 C 0.2642 0.7358 0.1159
C4 C 0.2642 0.7358 0.3841
C5 C 0.4464 0.5536 0.7500
C6 C 0.5536 0.4464 0.2500
C7 C 0.7358 0.2642 0.6159
C8 C 0.7358 0.2642 0.8841
```

Largest 10 diffraction maxima, sorted by position, 10 to 90 degrees two-theta:
2θ 29.10, intensity 76
2θ 31.92, intensity 56
2θ 32.56, intensity 35
2θ 33.15, intensity 100
2θ 37.71, intensity 34
2θ 40.39, intensity 60
2θ 46.24, intensity 24
2θ 50.88, intensity 25
2θ 52.38, intensity 30
2θ 56.27, intensity 25

Record 9
For Pa2SbRhN5, a DFT-relaxed cell (GGA-PBE, Alexandria) gives the calculated PXRD pattern in this record (Cu Kα X-rays).
Intensities are scaled so that the largest is 100.

```
data_Pa2SbRhN5
_chemical_formula_sum 'Pa4 Sb2 Rh2 N10'
_space_group_name_H-M_alt 'P 1'
_space_group_IT_number 1
_space_group_name_Hall 'P 1'
_cell_length_a 8.6568
_cell_length_b 8.6568
_cell_length_c 9.7474
_cell_angle_alpha 90.00
_cell_angle_beta 90.00
_cell_angle_gamma 157.69
loop_
_atom_site_label
_atom_site_type_symbol
_atom_site_fract_x
_atom_site_fract_y
_atom_site_fract_z
Pa1 Pa 0.0638 0.9362 0.5000
Pa2 Pa 0.1175 0.8825 0.1343
Pa3 Pa 0.8825 0.1175 0.6343
Pa4 Pa 0.9362 0.0638 0.0000
Sb1 Sb 0.2048 0.7952 0.7611
Sb2 Sb 0.7952 0.2048 0.2611
Rh1 Rh 0.4697 0.5303 0.2893
Rh2 Rh 0.5303 0.4697 0.7893
N1 N 0.0618 0.9382 0.9133
N2 N 0.2963 0.7037 0.6166
N3 N 0.3633 0.6367 0.1730
N4 N 0.4069 0.5931 0.8481
N5 N 0.4815 0.5185 0.6019
N6 N 0.5185 0.4815 0.1019
N7 N 0.5931 0.4069 0.3481
N8 N 0.6367 0.3633 0.6730
N9 N 0.7037 0.2963 0.1166
N10 N 0.9382 0.0618 0.4133
```

Largest 10 diffraction maxima, sorted by position, 10 to 90 degrees two-theta:
2θ 10.42, intensity 69
2θ 21.00, intensity 29
2θ 27.14, intensity 32
2θ 27.87, intensity 27
2θ 29.43, intensity 65
2θ 32.39, intensity 41
2θ 32.91, intensity 100
2θ 36.20, intensity 30
2θ 38.87, intensity 32
2θ 41.89, intensity 29

Record 10
For HoTiAs, a DFT-relaxed cell (GGA-PBE, Alexandria) gives the calculated PXRD pattern in this record (Cu Kα X-rays).
Intensities are scaled so that the largest is 100.

```
data_HoTiAs
_chemical_formula_sum 'Ho2 Ti2 As2'
_space_group_name_H-M_alt 'P 1'
_space_group_IT_number 1
_space_group_name_Hall 'P 1'
_cell_length_a 3.9719
_cell_length_b 3.9719
_cell_length_c 7.6027
_cell_angle_alpha 90.00
_cell_angle_beta 90.00
_cell_angle_gamma 90.00
loop_
_atom_site_label
_atom_site_type_symbol
_atom_site_fract_x
_atom_site_fract_y
_atom_site_fract_z
Ho1 Ho 0.2500 0.2500 0.1481
Ho2 Ho 0.7500 0.7500 0.8519
Ti1 Ti 0.2500 0.7500 0.5000
Ti2 Ti 0.7500 0.2500 0.5000
As1 As 0.2500 0.2500 0.7457
As2 As 0.7500 0.7500 0.2543
```

Largest 10 diffraction maxima, sorted by position, 10 to 90 degrees two-theta:
2θ 31.86, intensity 77
2θ 32.61, intensity 100
2θ 34.03, intensity 71
2θ 35.42, intensity 29
2θ 39.91, intensity 65
2θ 42.30, intensity 34
2θ 45.68, intensity 63
2θ 57.25, intensity 41
2θ 65.76, intensity 29
2θ 83.73, intensity 31

Record 11
For V7ReW3, a DFT-relaxed cell (GGA-PBE, Alexandria) gives the calculated PXRD pattern in this record (Cu Kα X-rays).
Intensities are scaled so that the largest is 100.

```
data_V7ReW3
_chemical_formula_sum 'V14 Re2 W6'
_space_group_name_H-M_alt 'P 1'
_space_group_IT_number 1
_space_group_name_Hall 'P 1'
_cell_length_a 9.3899
_cell_length_b 9.3899
_cell_length_c 13.4833
_cell_angle_alpha 90.00
_cell_angle_beta 90.00
_cell_angle_gamma 163.83
loop_
_atom_site_label
_atom_site_type_symbol
_atom_site_fract_x
_atom_site_fract_y
_atom_site_fract_z
V1 V 0.0007 0.9993 0.5869
V2 V 0.0007 0.9993 0.9131
V3 V 0.1193 0.8807 0.6505
V4 V 0.1193 0.8807 0.8495
V5 V 0.1326 0.8674 0.2500
V6 V 0.2448 0.7552 0.5825
V7 V 0.2448 0.7552 0.9175
V8 V 0.7552 0.2448 0.0825
V9 V 0.7552 0.2448 0.4175
V10 V 0.8674 0.1326 0.7500
V11 V 0.8807 0.1193 0.1505
V12 V 0.8807 0.1193 0.3495
V13 V 0.9993 0.0007 0.0869
V14 V 0.9993 0.0007 0.4131
Re1 Re 0.4970 0.5030 0.7500
Re2 Re 0.5030 0.4970 0.2500
W1 W 0.2688 0.7312 0.2500
W2 W 0.3778 0.6222 0.5382
W3 W 0.3778 0.6222 0.9618
W4 W 0.6222 0.3778 0.0382
W5 W 0.6222 0.3778 0.4618
W6 W 0.7312 0.2688 0.7500
```

Largest 10 diffraction maxima, sorted by position, 10 to 90 degrees two-theta:
2θ 23.24, intensity 100
2θ 26.44, intensity 30
2θ 34.63, intensity 32
2θ 38.74, intensity 56
2θ 39.41, intensity 47
2θ 39.88, intensity 54
2θ 43.82, intensity 35
2θ 44.15, intensity 65
2θ 44.54, intensity 27
2θ 44.80, intensity 30

Record 12
For Li2NbOF5, a DFT-relaxed cell (GGA-PBE, Alexandria) gives the calculated PXRD pattern in this record (Cu Kα X-rays).
Intensities are scaled so that the largest is 100.

```
data_Li2NbOF5
_chemical_formula_sum 'Li2 Nb1 O1 F5'
_space_group_name_H-M_alt 'P 1'
_space_group_IT_number 1
_space_group_name_Hall 'P 1'
_cell_length_a 5.0519
_cell_length_b 5.0519
_cell_length_c 4.6394
_cell_angle_alpha 90.39
_cell_angle_beta 90.39
_cell_angle_gamma 119.88
loop_
_atom_site_label
_atom_site_type_symbol
_atom_site_fract_x
_atom_site_fract_y
_atom_site_fract_z
Li1 Li 0.1594 0.8406 0.0000
Li2 Li 0.8406 0.1594 0.0000
Nb1 Nb 0.5184 0.5184 0.5118
O1 O 0.8035 0.8035 0.7383
F1 F 0.1678 0.4887 0.7337
F2 F 0.1727 0.1727 0.2358
F3 F 0.4843 0.8048 0.2377
F4 F 0.4887 0.1678 0.7337
F5 F 0.8048 0.4843 0.2377
```

Largest 10 diffraction maxima, sorted by position, 10 to 90 degrees two-theta:
2θ 19.13, intensity 30
2θ 20.29, intensity 100
2θ 27.85, intensity 32
2θ 28.04, intensity 31
2θ 28.18, intensity 33
2θ 40.55, intensity 38
2θ 40.85, intensity 19
2θ 41.24, intensity 11
2θ 53.45, intensity 12
2θ 53.84, intensity 11

Record 13
For CsNaPdO2, a DFT-relaxed cell (GGA-PBE, Alexandria) gives the calculated PXRD pattern in this record (Cu Kα X-rays).
Intensities are scaled so that the largest is 100.

```
data_CsNaPdO2
_chemical_formula_sum 'Cs2 Na2 Pd2 O4'
_space_group_name_H-M_alt 'P 1'
_space_group_IT_number 1
_space_group_name_Hall 'P 1'
_cell_length_a 7.0518
_cell_length_b 7.0518
_cell_length_c 5.5488
_cell_angle_alpha 90.00
_cell_angle_beta 90.00
_cell_angle_gamma 132.66
loop_
_atom_site_label
_atom_site_type_symbol
_atom_site_fract_x
_atom_site_fract_y
_atom_site_fract_z
Cs1 Cs 0.2500 0.7500 0.7512
Cs2 Cs 0.7500 0.2500 0.2488
Na1 Na 0.2500 0.2500 0.0000
Na2 Na 0.7500 0.7500 0.0000
Pd1 Pd 0.0000 0.0000 0.5000
Pd2 Pd 0.5000 0.5000 0.5000
O1 O 0.0994 0.9006 0.2394
O2 O 0.4006 0.5994 0.2394
O3 O 0.5994 0.4006 0.7606
O4 O 0.9006 0.0994 0.7606
```

Largest 10 diffraction maxima, sorted by position, 10 to 90 degrees two-theta:
2θ 15.97, intensity 30
2θ 21.11, intensity 34
2θ 23.48, intensity 88
2θ 27.62, intensity 69
2θ 30.66, intensity 100
2θ 31.60, intensity 54
2θ 35.21, intensity 83
2θ 38.32, intensity 37
2θ 48.03, intensity 45
2θ 53.91, intensity 31